[1]
The following is a simulated powder X-ray diffraction pattern of AcGeS. It was derived from a PBE-relaxed structure, using Cu Kα.
Kinematic intensities with the Lorentz-polarization factor, no thermal factor.

Peak list (8 most intense, 10 to 90 degrees two-theta, most intense first)
two_theta  Rel. int.  (hkl)
25.3  100.0  3 1 0
21.4  67.5  2 0 1
26.2  51.4  1 1 -1
44.7  44.3  3 1 -2
39.4  35.7  5 1 1
36.2  26.8  0 0 2
36.6  26.0  0 2 0
31.2  25.9  3 1 1

Structural model:
a b c (Å): 15.145 4.906 4.957
angles (deg): 90.00 90.06 90.00
Space group C2/m (No. 12)
Inequivalent atoms, fractional coordinates:
Ac (0.148, 0.000, 0.250)
Ge (0.018, 0.500, 0.750)
S (0.244, 0.000, 0.750)


[2]
The following is a simulated powder X-ray diffraction pattern of LaTb2PmHo. It was derived from a PBE-relaxed structure, using Cu Kα.
Kinematic intensities with the Lorentz-polarization factor, no thermal factor.

Peak list (8 most intense, 10 to 90 degrees two-theta, most intense first)
two_theta  Rel. int.  (hkl)
31.2  100.0  1 1 1
31.8  40.4  0 2 0
25.9  27.9  0 1 2
34.9  25.3  0 1 3
61.5  19.8  1 1 5
36.1  19.5  1 1 2
56.3  18.9  1 3 1
32.3  17.8  1 0 2

Structural model:
a b c (Å): 3.603 5.632 8.683
angles (deg): 90.00 90.00 90.00
Space group Pmmm (No. 47)
Inequivalent atoms, fractional coordinates:
La (0.000, 0.000, 0.000)
Tb (0.000, 0.500, 0.323)
Pm (0.500, 0.500, 0.000)
Ho (0.500, 0.000, 0.500)


[3]
The following is a simulated powder X-ray diffraction pattern of Dy5ZrRu6. It was derived from a PBE-relaxed structure, using Cu Kα.
Kinematic intensities with the Lorentz-polarization factor, no thermal factor.

Peak list (8 most intense, 10 to 90 degrees two-theta, most intense first)
two_theta  Rel. int.  (hkl)
37.6  100.0  2 0 -2
37.8  98.6  3 3 -1
54.3  34.0  2 6 -2
68.1  28.1  6 0 -2
67.8  17.4  1 3 -3
67.9  11.5  5 3 -3
68.2  11.2  3 9 -1
26.4  8.1  2 0 0

Structural model:
a b c (Å): 8.263 14.283 4.792
angles (deg): 90.00 125.24 90.00
Space group C2/m (No. 12)
Inequivalent atoms, fractional coordinates:
Dy (0.000, 0.000, 0.000)
Dy (0.000, 0.166, 0.500)
Dy (0.000, 0.333, 0.000)
Zr (0.000, 0.500, 0.500)
Ru (0.238, 0.500, 0.238)
Ru (0.244, 0.338, 0.744)


[4]
The following is a simulated powder X-ray diffraction pattern of AcGaO3. It was derived from a PBE-relaxed structure, using Cu Kα.
Kinematic intensities with the Lorentz-polarization factor, no thermal factor.

Peak list (8 most intense, 10 to 90 degrees two-theta, most intense first)
two_theta  Rel. int.  (hkl)
31.8  100.0  1 1 0
56.7  40.6  2 1 1
45.6  28.1  2 0 0
22.4  25.1  1 0 0
39.2  19.0  1 1 1
75.6  17.7  3 1 0
66.5  17.6  2 2 0
51.4  12.7  2 1 0

Structural model:
a b c (Å): 3.977 3.977 3.977
angles (deg): 90.00 90.00 90.00
Space group Pm-3m (No. 221)
Inequivalent atoms, fractional coordinates:
Ac (0.000, 0.000, 0.000)
Ga (0.500, 0.500, 0.500)
O (0.000, 0.500, 0.500)


Please write out number 2 again, unchanged.
The following is a simulated powder X-ray diffraction pattern of LaTb2PmHo. It was derived from a PBE-relaxed structure, using Cu Kα.
Kinematic intensities with the Lorentz-polarization factor, no thermal factor.

Peak list (8 most intense, 10 to 90 degrees two-theta, most intense first)
two_theta  Rel. int.  (hkl)
31.2  100.0  1 1 1
31.8  40.4  0 2 0
25.9  27.9  0 1 2
34.9  25.3  0 1 3
61.5  19.8  1 1 5
36.1  19.5  1 1 2
56.3  18.9  1 3 1
32.3  17.8  1 0 2

Structural model:
a b c (Å): 3.603 5.632 8.683
angles (deg): 90.00 90.00 90.00
Space group Pmmm (No. 47)
Inequivalent atoms, fractional coordinates:
La (0.000, 0.000, 0.000)
Tb (0.000, 0.500, 0.323)
Pm (0.500, 0.500, 0.000)
Ho (0.500, 0.000, 0.500)